[1]
Simulated XRD peak list of Nb2Ni4O9 for Cu Kα (λ = 1.5418 Å), from a structure optimized by DFT (PBE+U).
Neutral-atom scattering factors, no anomalous dispersion.

```
Nb2Ni4O9
1.0
8.8125 0.0000 0.0000
0.0000 5.1225 0.0000
0.0000 0.0000 14.4909
Nb Ni O
8 16 36
Direct
0.0308 0.0017 0.1447
0.0308 0.9983 0.6447
0.4692 0.4983 0.6447
0.4692 0.5017 0.1447
0.5308 0.4983 0.8553
0.5308 0.5017 0.3553
0.9692 0.0017 0.3553
0.9692 0.9983 0.8553
0.1628 0.4990 0.3133
0.1628 0.5010 0.8133
0.1647 0.4945 0.9971
0.1647 0.5055 0.4971
0.3353 0.0055 0.4971
0.3353 0.9945 0.9971
0.3372 0.0010 0.8133
0.3372 0.9990 0.3133
0.6628 0.0010 0.6867
0.6628 0.9990 0.1867
0.6647 0.0055 0.0029
0.6647 0.9945 0.5029
0.8353 0.4945 0.5029
0.8353 0.5055 0.0029
0.8372 0.4990 0.1867
0.8372 0.5010 0.6867
0.0000 0.2903 0.7500
0.0000 0.7097 0.2500
0.0038 0.3345 0.4148
0.0038 0.6655 0.9148
0.1495 0.1470 0.2492
0.1495 0.8530 0.7492
0.1650 0.1727 0.9029
0.1650 0.8273 0.4029
0.1710 0.1705 0.5711
0.1710 0.8295 0.0711
0.3290 0.3295 0.0711
0.3290 0.6705 0.5711
0.3350 0.3273 0.4029
0.3350 0.6727 0.9029
0.3505 0.3530 0.7492
0.3505 0.6470 0.2492
0.4962 0.1655 0.9148
0.4962 0.8345 0.4148
0.5000 0.2097 0.2500
0.5000 0.7903 0.7500
0.5038 0.1655 0.5852
0.5038 0.8345 0.0852
0.6495 0.3530 0.7508
0.6495 0.6470 0.2508
0.6650 0.3273 0.0971
0.6650 0.6727 0.5971
0.6710 0.3295 0.4289
0.6710 0.6705 0.9289
0.8290 0.1705 0.9289
0.8290 0.8295 0.4289
0.8350 0.1727 0.5971
0.8350 0.8273 0.0971
0.8505 0.1470 0.2508
0.8505 0.8530 0.7508
0.9962 0.3345 0.0852
0.9962 0.6655 0.5852
```

Peak list (8 most intense, 2θ = 5–70°, by intensity)
d_spacing  intensity
2.802  100.0
2.548  65.3
1.753  50.8
3.034  42.3
2.561  38.3
1.757  29.2
1.476  27.1
3.774  24.9

[2]
Simulated XRD peak list of Nb2Ni2O9 for Cu Kα (λ = 1.5418 Å), from a structure optimized by DFT (PBE+U).
Neutral-atom scattering factors, no anomalous dispersion.

```
Nb2Ni2O9
1.0
4.8466 0.0000 0.0000
-2.4233 4.1973 0.0000
0.0000 0.0000 14.2181
Nb Ni O
4 4 18
Direct
0.0000 0.0000 0.1588
0.0000 0.0000 0.3412
0.0000 0.0000 0.6588
0.0000 0.0000 0.8412
0.3333 0.6667 0.0000
0.3333 0.6667 0.5000
0.6667 0.3333 0.0000
0.6667 0.3333 0.5000
0.0000 0.3000 0.2500
0.0000 0.3551 0.5746
0.0000 0.3551 0.9254
0.0000 0.6449 0.0746
0.0000 0.6449 0.4254
0.0000 0.7000 0.7500
0.3000 0.0000 0.2500
0.3000 0.3000 0.7500
0.3551 0.0000 0.5746
0.3551 0.0000 0.9254
0.3551 0.3551 0.0746
0.3551 0.3551 0.4254
0.6449 0.0000 0.0746
0.6449 0.0000 0.4254
0.6449 0.6449 0.5746
0.6449 0.6449 0.9254
0.7000 0.0000 0.7500
0.7000 0.7000 0.2500
```

Peak list (8 most intense, 2θ = 5–70°, by intensity)
d_spacing  intensity
3.614  100.0
2.713  63.7
1.694  62.0
4.197  46.8
2.423  43.1
1.807  23.2
1.399  20.9
1.449  19.8

[3]
Simulated XRD peak list of Nb2NiO6 for Cu Kα (λ = 1.5418 Å), from a structure optimized by DFT (PBE+U).
Neutral-atom scattering factors, no anomalous dispersion.

```
Nb2NiO6
1.0
4.6014 -3.3437 0.0000
4.6014 3.3437 0.0000
-2.8966 0.0000 6.9104
Nb Ni O
4 2 12
Direct
0.0000 0.0000 0.0000
0.0000 0.0000 0.5000
0.3449 0.3449 0.8160
0.6551 0.6551 0.1840
0.3418 0.3418 0.3377
0.6582 0.6582 0.6623
0.0421 0.6420 0.8411
0.1048 0.1048 0.8007
0.2336 0.2336 0.5396
0.2910 0.7090 0.5000
0.3580 0.9579 0.1589
0.4336 0.4336 0.1247
0.5664 0.5664 0.8753
0.6420 0.0421 0.8411
0.7090 0.2910 0.5000
0.7664 0.7664 0.4604
0.8952 0.8952 0.1993
0.9579 0.3580 0.1589
```

Peak list (8 most intense, 2θ = 5–70°, by intensity)
d_spacing  intensity
3.399  100.0
3.344  97.7
2.614  70.0
2.606  68.9
1.414  37.5
2.384  32.0
1.753  31.2
1.772  31.0

[4]
Simulated XRD peak list of Nb2NiO6 for Cu Kα (λ = 1.5418 Å), from a structure optimized by DFT (PBE+U).
Neutral-atom scattering factors, no anomalous dispersion.

```
Nb2NiO6
1.0
14.2719 0.0000 0.0000
0.0000 5.7945 0.0000
0.0000 0.0000 5.0816
Nb Ni O
8 4 24
Direct
0.1590 0.1826 0.2463
0.1590 0.8174 0.7463
0.3410 0.3174 0.7463
0.3410 0.6826 0.2463
0.6590 0.3174 0.7537
0.6590 0.6826 0.2537
0.8410 0.1826 0.2537
0.8410 0.8174 0.7537
0.0000 0.3453 0.7500
0.0000 0.6547 0.2500
0.5000 0.1547 0.2500
0.5000 0.8453 0.7500
0.0781 0.3842 0.4114
0.0781 0.6158 0.9114
0.0946 0.1080 0.9214
0.0946 0.8920 0.4214
0.2443 0.1241 0.5766
0.2443 0.8759 0.0766
0.2557 0.3759 0.0766
0.2557 0.6241 0.5766
0.4054 0.3920 0.4214
0.4054 0.6080 0.9214
0.4219 0.1158 0.9114
0.4219 0.8842 0.4114
0.5781 0.1158 0.5886
0.5781 0.8842 0.0886
0.5946 0.3920 0.0786
0.5946 0.6080 0.5786
0.7443 0.3759 0.4234
0.7443 0.6241 0.9234
0.7557 0.1241 0.9234
0.7557 0.8759 0.4234
0.9054 0.1080 0.5786
0.9054 0.8920 0.0786
0.9219 0.3842 0.0886
0.9219 0.6158 0.5886
```

Peak list (8 most intense, 2θ = 5–70°, by intensity)
d_spacing  intensity
2.979  100.0
3.679  34.4
1.464  23.8
1.729  22.2
1.736  16.9
2.517  15.4
1.790  14.8
1.538  14.4

[5]
Simulated XRD peak list of Nb2NiO6 for Cu Kα (λ = 1.5418 Å), from a structure optimized by DFT (PBE+U).
Neutral-atom scattering factors, no anomalous dispersion.

```
Nb2NiO6
1.0
4.8030 0.0000 0.0000
0.0000 4.8030 0.0000
0.0000 0.0000 9.1940
Nb Ni O
4 2 12
Direct
0.0000 0.0000 0.1687
0.0000 0.0000 0.8313
0.5000 0.5000 0.3313
0.5000 0.5000 0.6687
0.0000 0.0000 0.5000
0.5000 0.5000 0.0000
0.1912 0.1912 0.0000
0.2019 0.2019 0.3268
0.2019 0.2019 0.6732
0.2981 0.7019 0.1732
0.2981 0.7019 0.8268
0.3088 0.6912 0.5000
0.6912 0.3088 0.5000
0.7019 0.2981 0.1732
0.7019 0.2981 0.8268
0.7981 0.7981 0.3268
0.7981 0.7981 0.6732
0.8088 0.8088 0.0000
```

Peak list (8 most intense, 2θ = 5–70°, by intensity)
d_spacing  intensity
3.396  100.0
2.584  66.6
1.759  62.4
1.419  19.7
1.698  17.3
2.402  17.0
1.519  13.5
1.397  13.4

What did the second record say?
Simulated XRD peak list of Nb2Ni2O9 for Cu Kα (λ = 1.5418 Å), from a structure optimized by DFT (PBE+U).
Neutral-atom scattering factors, no anomalous dispersion.

```
Nb2Ni2O9
1.0
4.8466 0.0000 0.0000
-2.4233 4.1973 0.0000
0.0000 0.0000 14.2181
Nb Ni O
4 4 18
Direct
0.0000 0.0000 0.1588
0.0000 0.0000 0.3412
0.0000 0.0000 0.6588
0.0000 0.0000 0.8412
0.3333 0.6667 0.0000
0.3333 0.6667 0.5000
0.6667 0.3333 0.0000
0.6667 0.3333 0.5000
0.0000 0.3000 0.2500
0.0000 0.3551 0.5746
0.0000 0.3551 0.9254
0.0000 0.6449 0.0746
0.0000 0.6449 0.4254
0.0000 0.7000 0.7500
0.3000 0.0000 0.2500
0.3000 0.3000 0.7500
0.3551 0.0000 0.5746
0.3551 0.0000 0.9254
0.3551 0.3551 0.0746
0.3551 0.3551 0.4254
0.6449 0.0000 0.0746
0.6449 0.0000 0.4254
0.6449 0.6449 0.5746
0.6449 0.6449 0.9254
0.7000 0.0000 0.7500
0.7000 0.7000 0.2500
```

Peak list (8 most intense, 2θ = 5–70°, by intensity)
d_spacing  intensity
3.614  100.0
2.713  63.7
1.694  62.0
4.197  46.8
2.423  43.1
1.807  23.2
1.399  20.9
1.449  19.8

> What is the formula in the fifth record?

Nb2NiO6